Entry 1:
PrCoGe2: computed X-ray powder pattern (Cu Kα), based on a PBE-relaxed structure.

Cell and atoms:
Unit cell a=8.614 b=8.614 c=4.268 alpha=90.00 beta=90.00 gamma=151.14
Element x y z (fractional)
1 Pr 0.107 0.893 0.750
2 Pr 0.893 0.107 0.250
3 Co 0.315 0.685 0.750
4 Co 0.685 0.315 0.250
5 Ge 0.251 0.749 0.250
6 Ge 0.454 0.546 0.750
7 Ge 0.546 0.454 0.250
8 Ge 0.749 0.251 0.750

Principal peaks in the range 10 to 80 degrees two-theta, low angle first:
2θ (°), I/Imax
30.00, 23
33.71, 100
34.03, 35
38.65, 29
42.09, 29
42.36, 29
53.89, 16
55.41, 17
58.44, 22
61.25, 19

Entry 2:
PrCoGe3: computed X-ray powder pattern (Cu Kα), based on a PBE-relaxed structure.

Cell and atoms:
Unit cell a=5.841 b=5.841 c=5.841 alpha=136.38 beta=136.38 gamma=63.40
Element x y z (fractional)
1 Pr 0.000 0.000 0.000
2 Co 0.334 0.334 0.000
3 Ge 0.242 0.742 0.500
4 Ge 0.565 0.565 0.000
5 Ge 0.742 0.242 0.500

Principal peaks in the range 10 to 80 degrees two-theta, low angle first:
2θ (°), I/Imax
29.09, 13
34.04, 38
34.34, 100
36.15, 16
41.61, 55
54.81, 19
56.28, 18
60.31, 18
63.85, 14
71.28, 24

Entry 3:
Sc4Co7Ge6: computed X-ray powder pattern (Cu Kα), based on a PBE-relaxed structure.

Cell and atoms:
Unit cell a=6.802 b=6.802 c=6.802 alpha=109.47 beta=109.47 gamma=109.47
Element x y z (fractional)
1 Sc 0.000 0.000 0.500
2 Sc 0.000 0.500 0.000
3 Sc 0.500 0.000 0.000
4 Sc 0.500 0.500 0.500
5 Co 0.000 0.000 0.000
6 Co 0.250 0.500 0.750
7 Co 0.250 0.750 0.500
8 Co 0.500 0.250 0.750
9 Co 0.500 0.750 0.250
10 Co 0.750 0.250 0.500
11 Co 0.750 0.500 0.250
12 Ge 0.000 0.317 0.317
13 Ge 0.000 0.683 0.683
14 Ge 0.317 0.000 0.317
15 Ge 0.317 0.317 0.000
16 Ge 0.683 0.000 0.683
17 Ge 0.683 0.683 0.000

Principal peaks in the range 10 to 80 degrees two-theta, low angle first:
2θ (°), I/Imax
22.64, 23
36.16, 18
39.75, 100
43.09, 21
46.23, 61
49.22, 29
54.82, 25
67.45, 24
76.74, 5
79.00, 9

Entry 4:
ScCoGe2: computed X-ray powder pattern (Cu Kα), based on a PBE-relaxed structure.

Cell and atoms:
Unit cell a=9.193 b=10.130 c=7.970 alpha=90.00 beta=90.00 gamma=90.00
Element x y z (fractional)
1 Sc 0.164 0.178 0.000
2 Sc 0.174 0.452 0.238
3 Sc 0.174 0.452 0.762
4 Sc 0.326 0.952 0.238
5 Sc 0.326 0.952 0.762
6 Sc 0.336 0.678 0.000
7 Sc 0.664 0.322 0.000
8 Sc 0.674 0.048 0.238
9 Sc 0.674 0.048 0.762
10 Sc 0.826 0.548 0.238
11 Sc 0.826 0.548 0.762
12 Sc 0.836 0.822 0.000
13 Co 0.000 0.000 0.247
14 Co 0.000 0.000 0.753
15 Co 0.090 0.746 0.253
16 Co 0.090 0.746 0.747
17 Co 0.410 0.246 0.253
18 Co 0.410 0.246 0.747
19 Co 0.500 0.500 0.247
20 Co 0.500 0.500 0.753
21 Co 0.590 0.754 0.253
22 Co 0.590 0.754 0.747
23 Co 0.910 0.254 0.253
24 Co 0.910 0.254 0.747
25 Ge 0.041 0.624 0.000
26 Ge 0.042 0.623 0.500
27 Ge 0.126 0.896 0.000
28 Ge 0.127 0.904 0.500
29 Ge 0.158 0.181 0.343
30 Ge 0.158 0.181 0.657
31 Ge 0.342 0.681 0.343
32 Ge 0.342 0.681 0.657
33 Ge 0.373 0.404 0.500
34 Ge 0.374 0.396 0.000
35 Ge 0.458 0.123 0.500
36 Ge 0.459 0.124 0.000
37 Ge 0.541 0.876 0.000
38 Ge 0.542 0.877 0.500
39 Ge 0.626 0.604 0.000
40 Ge 0.627 0.596 0.500
41 Ge 0.658 0.319 0.343
42 Ge 0.658 0.319 0.657
43 Ge 0.842 0.819 0.343
44 Ge 0.842 0.819 0.657
45 Ge 0.873 0.096 0.500
46 Ge 0.874 0.104 0.000
47 Ge 0.958 0.377 0.500
48 Ge 0.959 0.376 0.000

Principal peaks in the range 10 to 80 degrees two-theta, low angle first:
2θ (°), I/Imax
36.81, 39
38.09, 73
39.72, 57
40.14, 100
40.24, 39
42.28, 68
45.52, 30
46.88, 21
50.75, 33
67.91, 20

Entry 5:
SmCoGe3: computed X-ray powder pattern (Cu Kα), based on a PBE-relaxed structure.

Cell and atoms:
Unit cell a=5.804 b=5.804 c=5.804 alpha=136.63 beta=136.63 gamma=63.01
Element x y z (fractional)
1 Sm 0.000 0.000 0.000
2 Co 0.668 0.668 0.000
3 Ge 0.260 0.760 0.500
4 Ge 0.438 0.438 0.000
5 Ge 0.760 0.260 0.500

Principal peaks in the range 10 to 80 degrees two-theta, low angle first:
2θ (°), I/Imax
29.45, 14
34.29, 38
34.69, 100
36.31, 17
42.13, 54
55.40, 19
56.81, 19
61.10, 17
64.28, 14
72.21, 25

Entry 6:
SmCoGe2: computed X-ray powder pattern (Cu Kα), based on a PBE-relaxed structure.

Cell and atoms:
Unit cell a=8.535 b=8.535 c=4.224 alpha=90.00 beta=90.00 gamma=151.35
Element x y z (fractional)
1 Sm 0.107 0.893 0.750
2 Sm 0.893 0.107 0.250
3 Co 0.317 0.683 0.750
4 Co 0.683 0.317 0.250
5 Ge 0.251 0.749 0.250
6 Ge 0.454 0.546 0.750
7 Ge 0.546 0.454 0.250
8 Ge 0.749 0.251 0.750

Principal peaks in the range 10 to 80 degrees two-theta, low angle first:
2θ (°), I/Imax
30.41, 21
34.14, 100
34.44, 35
39.02, 29
42.82, 57
54.45, 13
56.06, 17
59.30, 17
62.16, 18
72.86, 22